Calculated X-ray powder pattern
Compound: TbCoNi
Radiation: Cu Kα
Structure: a cell relaxed with PBE
No peak broadening, texture or thermal motion is included.

Main lines, by angle (2θ = 10–90°):
2θ (°)	d (Å)	I/Imax	h k l
26.2	3.404	18.9	1 0 0
35.2	2.551	100.0	1 0 1
46.2	1.965	38.0	1 1 0
47.2	1.926	11.9	0 0 2
59.4	1.557	21.5	2 0 1
68.2	1.375	22.8	1 1 2
78.4	1.220	18.8	2 1 1
79.8	1.201	9.0	1 0 3

Cell and atoms:
```
data_TbCoNi
_chemical_formula_sum 'Tb1 Co1 Ni1'
_cell_length_a 3.9303
_cell_length_b 3.9303
_cell_length_c 3.8519
_cell_angle_alpha 90.00
_cell_angle_beta 90.00
_cell_angle_gamma 120.00
_space_group_name_H-M_alt 'P -6 m 2'
_space_group_IT_number 187
_space_group_name_Hall 'P -6 2'
loop_
_atom_site_label
_atom_site_type_symbol
_atom_site_fract_x
_atom_site_fract_y
_atom_site_fract_z
_atom_site_occupancy
Tb1 Tb 0.0000 0.0000 0.0000 1
Co1 Co 0.6667 0.3333 0.5000 1
Ni1 Ni 0.3333 0.6667 0.5000 1
```